(1)
PtClF3: calculated X-ray diffraction stick pattern (Cu Kα X-rays), based on DFT lattice parameters and positions (GGA-PBE).

Largest 10 diffraction maxima, sorted by position, 5° ≤ 2θ ≤ 70°:
6.390 Å, rel. 100; 3.781 Å, rel. 61; 3.254 Å, rel. 69; 2.849 Å, rel. 15; 2.602 Å, rel. 12; 2.440 Å, rel. 29; 2.350 Å, rel. 13; 1.982 Å, rel. 12; 1.856 Å, rel. 16; 1.813 Å, rel. 20

Structure:
```
PtClF3
1.0
5.698 0.000 0.000
0.000 5.053 0.000
-0.010 0.000 6.390
Pt Cl F
2 2 6
direct
0.250 0.000 0.009
0.750 0.500 0.991
0.250 0.784 0.319
0.750 0.284 0.681
0.002 0.753 0.880
0.250 0.199 0.745
0.497 0.753 0.880
0.503 0.253 0.120
0.750 0.699 0.255
0.998 0.253 0.120
```

=====

(2)
CsHg: calculated X-ray diffraction stick pattern (Cu Kα X-rays), based on DFT lattice parameters and positions (GGA-PBE).

Largest 10 diffraction maxima, sorted by position, 5° ≤ 2θ ≤ 70°:
10.887 Å, rel. 100; 4.116 Å, rel. 12; 3.285 Å, rel. 21; 3.021 Å, rel. 25; 2.726 Å, rel. 17; 2.643 Å, rel. 40; 2.179 Å, rel. 7; 2.058 Å, rel. 7; 2.024 Å, rel. 7; 1.558 Å, rel. 6

Structure:
```
CsHg
1.0
12.571 0.000 0.000
-6.285 10.887 0.000
0.000 0.000 5.456
Cs Hg
6 6
direct
0.122 0.406 0.250
0.283 0.878 0.250
0.406 0.283 0.750
0.594 0.717 0.250
0.717 0.122 0.750
0.878 0.594 0.750
0.051 0.171 0.750
0.120 0.949 0.750
0.171 0.120 0.250
0.829 0.880 0.750
0.880 0.051 0.250
0.949 0.829 0.250
```

=====

(3)
Ba3Ho2Cu2PtO10: calculated X-ray diffraction stick pattern (Cu Kα X-rays), based on DFT lattice parameters and positions (GGA-PBE).

Largest 10 diffraction maxima, sorted by position, 5° ≤ 2θ ≤ 70°:
5.277 Å, rel. 16; 3.312 Å, rel. 43; 3.161 Å, rel. 35; 2.932 Å, rel. 52; 2.793 Å, rel. 100; 2.773 Å, rel. 19; 2.296 Å, rel. 16; 2.132 Å, rel. 16; 1.665 Å, rel. 21; 1.397 Å, rel. 17

Structure:
```
Ba3Ho2Cu2PtO10
1.0
6.283 -2.932 0.000
6.283 2.932 0.000
-2.028 0.000 7.229
Ba Ho Cu Pt O
3 2 2 1 10
direct
0.000 0.000 0.000
0.154 0.154 0.543
0.846 0.846 0.457
0.311 0.311 0.126
0.689 0.689 0.874
0.411 0.411 0.802
0.589 0.589 0.198
0.500 0.500 0.500
0.088 0.545 0.876
0.262 0.702 0.281
0.298 0.738 0.719
0.332 0.332 0.446
0.455 0.912 0.124
0.545 0.088 0.876
0.668 0.668 0.554
0.702 0.262 0.281
0.738 0.298 0.719
0.912 0.455 0.124
```